Diffraction record for Li3CoNi3O8. The powder XRD pattern is calculated, not measured: it uses a cell relaxed with GGA+U and CuKα.

Most intense lines, 2θ from 15° to 90°, sorted by position:
| d_spacing | I/Imax | h k l |
| --- | --- | --- |
| 4.647 | 44 | 0 0 2 |
| 4.377 | 100 | 1 0 1 |
| 2.438 | 41 | 2 -1 2 |
| 2.397 | 59 | 2 0 1 |
| 1.936 | 70 | 2 0 3 |
| 1.488 | 39 | 2 0 5 |

Atomic structure:
```
30
Lattice="5.7287 0.0000 0.0000 -2.8643 4.9612 0.0000 0.0000 0.0000 9.2950" Properties=species:S:1:pos:R:3 pbc="T T T"
Li -1.4467 4.0846 0.0000
Li 0.0503 1.6660 0.0000
Li 1.4176 0.8765 4.6475
Li 1.3964 4.1718 0.0000
Li 4.2608 0.7894 4.6475
Li 2.9146 3.2952 4.6475
Co 0.0000 3.3075 4.2880
Co 2.8643 1.6537 8.9355
Ni -1.4259 4.0901 6.8224
Ni 0.0352 1.6813 6.8224
Ni 1.4384 0.8711 2.1749
Ni 1.3907 4.1511 6.8224
Ni 4.2551 0.8101 2.1749
Ni 2.8996 3.2799 2.1749
O 0.0000 0.0000 1.2484
O 0.0000 0.0000 5.8959
O -1.2095 2.4767 5.5416
O -1.4728 4.0754 3.3321
O 0.0713 1.6481 3.3321
O 1.3916 0.8858 7.9796
O 0.0000 3.3075 7.8272
O -0.1147 4.7703 5.5416
O 2.7497 0.1909 0.8941
O 1.3242 2.6753 5.5416
O 1.6548 2.4845 0.8941
O 2.8643 1.6537 3.1797
O 1.4014 4.1989 3.3321
O 4.2658 0.7622 7.9796
O 2.9357 3.3131 7.9796
O 4.1886 2.2858 0.8941
```



Diffraction record for Li10CoNi9O20. The powder XRD pattern is calculated, not measured: it uses a cell relaxed with GGA+U and CuKα.

Most intense lines, 2θ from 15° to 90°, sorted by position:
| d_spacing | I/Imax | h k l |
| --- | --- | --- |
| 4.772 | 100 | 0 2 2 |
| 2.485 | 29 | 1 0 2 |
| 2.426 | 13 | 0 3 -2 |
| 2.070 | 48 | 1 2 4 |
| 2.012 | 22 | 0 5 0 |
| 1.596 | 9 | 1 4 6 |

Atomic structure:
```
40
Lattice="2.9259 0.0000 0.0000 1.4362 11.0415 0.0000 0.0021 4.8254 10.6820" Properties=species:S:1:pos:R:3 pbc="T T T"
Li 0.0000 0.0000 0.0000
Li 1.4704 13.4267 5.3498
Li 1.4170 10.9605 9.6060
Li 1.4799 8.5602 4.2909
Li 1.4263 6.0564 8.5575
Li 1.5038 3.6491 3.2049
Li 2.9023 12.2015 7.4755
Li 2.9626 9.7931 2.1247
Li 2.9387 7.3289 6.4165
Li 2.9781 4.8776 1.0553
Co 2.8590 8.5094 9.0775
Ni 1.4726 12.2419 2.6669
Ni 1.4625 9.7719 6.9609
Ni 1.5337 7.3312 1.5960
Ni 1.4810 4.8592 5.8771
Ni 1.4871 2.4257 0.5172
Ni 2.8623 13.4076 10.1539
Ni 2.9333 11.0055 4.8080
Ni 2.9920 6.1123 3.7341
Ni 4.3325 14.6404 8.0185
O 1.2654 12.9274 8.8634
O 1.3404 10.5226 3.5181
O 1.5462 9.0614 0.7752
O 1.6040 11.4936 6.0922
O 1.3849 8.0472 7.8618
O 1.3859 6.6235 5.0351
O 1.3856 8.9716 10.2914
O 1.6602 5.6170 2.4331
O 2.7338 15.1234 9.3130
O 2.7910 12.7287 3.9590
O 1.5914 3.0955 6.7232
O 1.6407 0.7027 1.3859
O 2.7865 10.2424 8.2458
O 2.8554 6.8464 0.2946
O 3.0615 9.2823 5.6659
O 3.1212 7.8162 2.8889
O 2.8036 6.7774 9.9111
O 2.9128 4.3764 4.5586
O 2.9701 5.3429 7.1926
O 3.0984 2.9257 1.8064
```



Diffraction record for Li2Co3NiO8. The powder XRD pattern is calculated, not measured: it uses a cell relaxed with GGA+U and CuKα.

Most intense lines, 2θ from 15° to 90°, sorted by position:
| d_spacing | I/Imax | h k l |
| --- | --- | --- |
| 4.757 | 82 | 0 0 2 |
| 4.363 | 100 | 1 0 1 |
| 2.435 | 62 | 1 1 2 |
| 2.377 | 66 | 0 0 4 |
| 1.941 | 58 | 2 0 3 |
| 1.504 | 49 | 2 0 5 |

Atomic structure:
```
28
Lattice="5.6686 0.0000 0.0000 -2.8343 4.9091 0.0000 0.0000 0.0000 9.5149" Properties=species:S:1:pos:R:3 pbc="T T T"
Li 0.0000 0.0000 0.0000
Li 0.0000 0.0000 4.7575
Li 0.0000 3.2728 3.7614
Li 2.8343 1.6364 8.5189
Co 0.0000 1.6530 6.8101
Co -1.4028 4.0826 6.8101
Co 1.4315 0.8265 2.0527
Co 1.4028 4.0826 6.8101
Co 4.2370 0.8265 2.0527
Co 2.8343 3.2561 2.0527
Ni 0.0000 3.2728 9.4276
Ni 2.8343 1.6364 4.6702
O 0.0000 0.0000 2.9859
O 0.0000 0.0000 7.7433
O -1.2649 2.5425 7.8800
O 0.0000 1.5620 1.0697
O -1.4816 4.1281 1.0697
O 1.3527 0.7810 5.8272
O 0.0000 3.2728 5.8077
O 1.2649 2.5425 7.8800
O 0.0000 4.7334 7.8800
O 2.8343 0.1758 3.1226
O 1.5694 2.3667 3.1226
O 2.8343 1.6364 1.0503
O 1.4816 4.1281 1.0697
O 4.3159 0.7810 5.8272
O 2.8343 3.3471 5.8272
O 4.0992 2.3667 3.1226
```